[1]
Diffraction record for Pu2ZnIn8. The XRD peak list is simulated, not measured: it uses a PBE-relaxed structure and λ = 1.5418 Å (Cu Kα).

Structure:
a b c (Å): 4.778 4.778 12.080
angles (deg): 90.00 90.00 90.00
Space group P4/mmm (No. 123)
Symmetry-distinct sites (fractional):
Pu: 0.000 0.000 0.190 (multiplicity 2)
Zn: 0.000 0.000 0.500 (multiplicity 1)
In: 0.000 0.500 0.000 (multiplicity 2)
In: 0.000 0.500 0.370 (multiplicity 4)
In: 0.500 0.500 0.189 (multiplicity 2)

The 12 most intense peaks (10° ≤ 2θ ≤ 80°), in order of rising 2θ:
2θ/deg	I_rel
18.57	12
30.31	34
34.66	100
37.22	15
37.65	51
53.98	20
54.31	17
60.10	9
63.47	9
66.05	30
67.68	10
68.00	14



[2]
Diffraction record for RbIn6. The XRD peak list is simulated, not measured: it uses a PBE-relaxed structure and λ = 1.5418 Å (Cu Kα).

Structure:
a b c (Å): 6.884 6.884 9.291
angles (deg): 90.00 90.00 90.00
Space group P4/nbm (No. 125, origin choice 2)
Symmetry-distinct sites (fractional):
Rb: 0.250 0.750 0.000 (multiplicity 2)
In: 0.049 0.549 0.353 (multiplicity 8)
In: 0.250 0.250 0.164 (multiplicity 4)

The 12 most intense peaks (10° ≤ 2θ ≤ 80°), in order of rising 2θ:
2θ/deg	I_rel
26.52	20
27.64	100
30.59	34
34.32	38
34.96	34
36.93	48
39.13	52
55.95	16
58.03	20
58.76	19
64.87	16
77.03	21



[3]
Diffraction record for RbIn5. The XRD peak list is simulated, not measured: it uses a PBE-relaxed structure and λ = 1.5418 Å (Cu Kα).

Structure:
a b c (Å): 4.647 6.619 6.681
angles (deg): 90.00 90.00 90.00
Space group Pmmm (No. 47)
Symmetry-distinct sites (fractional):
Rb: 0.000 0.000 0.000 (multiplicity 1)
In: 0.000 0.500 0.281 (multiplicity 2)
In: 0.500 0.233 0.500 (multiplicity 2)
In: 0.500 0.500 0.000 (multiplicity 1)

The 12 most intense peaks (10° ≤ 2θ ≤ 80°), in order of rising 2θ:
2θ/deg	I_rel
13.38	85
26.97	100
30.14	65
33.02	79
33.24	63
35.78	86
35.92	50
38.76	50
49.32	34
49.86	31
53.54	41
64.43	30



[4]
Diffraction record for Rb12In. The XRD peak list is simulated, not measured: it uses a PBE-relaxed structure and λ = 1.5418 Å (Cu Kα).

Structure:
a b c (Å): 12.773 12.773 12.773
angles (deg): 90.00 90.00 90.00
Space group Im-3 (No. 204)
Symmetry-distinct sites (fractional):
Rb: 0.000 0.173 0.301 (multiplicity 24)
In: 0.000 0.000 0.000 (multiplicity 2)

The 12 most intense peaks (10° ≤ 2θ ≤ 80°), in order of rising 2θ:
2θ/deg	I_rel
22.01	100
24.14	38
26.10	93
34.40	13
41.21	52
42.46	16
43.68	40
48.33	15
50.52	20
60.66	16
61.61	15
73.38	13



[5]
Diffraction record for Rb8In11. The XRD peak list is simulated, not measured: it uses a PBE-relaxed structure and λ = 1.5418 Å (Cu Kα).

Structure:
a b c (Å): 10.3982 10.3982 52.9116
angles (deg): 90.00 90.00 120.00
Space group R-3c (No. 167, hexagonal axes)
Symmetry-distinct sites (fractional):
Rb: 0.0000 0.0000 0.0791 (multiplicity 12)
Rb: 0.0343 0.2987 0.1448 (multiplicity 36)
In: 0.0000 0.0000 0.2014 (multiplicity 12)
In: 0.0000 0.2045 0.7500 (multiplicity 18)
In: 0.0073 0.2861 0.2203 (multiplicity 36)

The 12 most intense peaks (10° ≤ 2θ ≤ 80°), in order of rising 2θ:
2θ/deg	I_rel
10.03	36
10.38	88
11.89	24
23.91	27
25.98	21
29.52	24
29.76	71
30.63	100
31.25	18
34.35	22
36.00	17
40.20	17



[6]
Diffraction record for Rb2In17. The XRD peak list is simulated, not measured: it uses a PBE-relaxed structure and λ = 1.5418 Å (Cu Kα).

Structure:
a b c (Å): 11.0435 11.0435 16.3432
angles (deg): 90.00 90.00 120.00
Space group R-3m (No. 166, hexagonal axes)
Symmetry-distinct sites (fractional):
Rb: 0.0000 0.0000 0.1600 (multiplicity 6)
In: 0.0000 0.0000 0.4015 (multiplicity 6)
In: 0.0000 0.2924 0.5000 (multiplicity 18)
In: 0.0000 0.5000 0.0000 (multiplicity 9)
In: 0.0027 0.5013 0.6471 (multiplicity 18)

The 12 most intense peaks (10° ≤ 2θ ≤ 80°), in order of rising 2θ:
2θ/deg	I_rel
10.72	21
16.05	19
27.99	28
28.74	34
32.43	67
32.54	99
32.88	37
33.20	35
36.49	100
36.79	29
57.85	26
58.49	22



[7]
Diffraction record for RbIn4Rh. The XRD peak list is simulated, not measured: it uses a PBE-relaxed structure and λ = 1.5418 Å (Cu Kα).

Structure:
a b c (Å): 9.064 9.073 18.053
angles (deg): 90.00 90.00 90.00
Space group Fmmm (No. 69)
Symmetry-distinct sites (fractional):
Rb: 0.250 0.250 0.000 (multiplicity 8)
In: 0.000 0.174 0.170 (multiplicity 16)
In: 0.174 0.000 0.330 (multiplicity 16)
Rh: 0.250 0.250 0.250 (multiplicity 8)

The 12 most intense peaks (10° ≤ 2θ ≤ 80°), in order of rising 2θ:
2θ/deg	I_rel
27.89	46
29.69	33
31.59	30
34.31	43
34.65	100
39.76	18
40.16	22
41.14	23
44.69	38
49.39	21
55.94	24
61.61	33



[8]
Diffraction record for Rb4In2S5. The XRD peak list is simulated, not measured: it uses a PBE-relaxed structure and λ = 1.5418 Å (Cu Kα).

Structure:
a b c (Å): 7.743 9.521 11.014
angles (deg): 72.78 70.68 85.51
Space group P-1 (No. 2)
Symmetry-distinct sites (fractional):
Rb: 0.003 0.294 0.416 (multiplicity 2)
Rb: 0.047 0.687 0.044 (multiplicity 2)
Rb: 0.275 0.975 0.162 (multiplicity 2)
Rb: 0.396 0.316 0.592 (multiplicity 2)
In: 0.377 0.908 0.669 (multiplicity 2)
In: 0.469 0.501 0.159 (multiplicity 2)
S: 0.236 0.021 0.848 (multiplicity 2)
S: 0.243 0.611 0.314 (multiplicity 2)
S: 0.288 0.024 0.458 (multiplicity 2)
S: 0.305 0.637 0.730 (multiplicity 2)
S: 0.324 0.347 0.065 (multiplicity 2)

The 12 most intense peaks (10° ≤ 2θ ≤ 80°), in order of rising 2θ:
2θ/deg	I_rel
11.14	38
12.12	62
22.75	51
22.81	68
24.67	100
25.15	95
26.09	50
28.38	38
30.19	84
31.74	78
32.53	47
46.50	42



Please write out number 7 again, unchanged.
Diffraction record for RbIn4Rh. The XRD peak list is simulated, not measured: it uses a PBE-relaxed structure and λ = 1.5418 Å (Cu Kα).

Structure:
a b c (Å): 9.064 9.073 18.053
angles (deg): 90.00 90.00 90.00
Space group Fmmm (No. 69)
Symmetry-distinct sites (fractional):
Rb: 0.250 0.250 0.000 (multiplicity 8)
In: 0.000 0.174 0.170 (multiplicity 16)
In: 0.174 0.000 0.330 (multiplicity 16)
Rh: 0.250 0.250 0.250 (multiplicity 8)

The 12 most intense peaks (10° ≤ 2θ ≤ 80°), in order of rising 2θ:
2θ/deg	I_rel
27.89	46
29.69	33
31.59	30
34.31	43
34.65	100
39.76	18
40.16	22
41.14	23
44.69	38
49.39	21
55.94	24
61.61	33